Simulated PXRD pattern of Li3Fe5OF11 for Cu Kα X-rays, from the GGA+U geometry in the Materials Project.
Intensities are scaled so that the largest is 100.

Top 8 peaks for 2θ from 5° to 70°, most intense first:
22.87°, intensity 100, hkl 1 0 1; 22.56°, intensity 97, hkl 0 1 2; 23.43°, intensity 94, hkl 1 1 -1; 31.31°, intensity 70, hkl -1 1 1; 31.63°, intensity 69, hkl 1 2 1; 31.78°, intensity 69, hkl 0 1 -2; 52.10°, intensity 68, hkl 2 3 0; 59.73°, intensity 54, hkl 0 1 6

Cell and atoms:
```
20
Lattice="5.256 0.000 0.000 2.568 5.075 0.000 0.146 3.021 8.785" Properties=species:S:1:pos:R:3 pbc="T T T"
Li 0.000 0.000 0.000
Li 2.644 4.914 6.396
Li 5.231 3.244 2.090
Fe 2.579 5.376 3.054
Fe 2.593 2.210 0.778
Fe 5.366 6.407 4.383
Fe 5.365 7.073 7.482
Fe 5.464 3.729 5.226
O 6.833 5.101 4.737
F 1.848 6.062 7.807
F 1.762 3.973 1.675
F 0.820 1.245 1.293
F 0.986 2.170 3.953
F 1.190 3.242 7.066
F 4.184 3.532 0.434
F 4.475 5.591 6.217
F 4.473 4.519 3.370
F 3.621 3.730 8.397
F 3.636 2.876 5.646
F 3.708 1.836 2.522
```

---

Simulated PXRD pattern of LiCrP3H8O13 for Cu Kα X-rays, from the GGA+U geometry in the Materials Project.
Intensities are scaled so that the largest is 100.

Top 8 peaks for 2θ from 5° to 70°, most intense first:
28.00°, intensity 100, hkl 2 1 2; 26.17°, intensity 97, hkl 0 2 -1; 26.71°, intensity 94, hkl 2 1 0; 15.54°, intensity 82, hkl 0 1 -1; 31.26°, intensity 81, hkl 0 1 -3; 14.45°, intensity 74, hkl 0 1 1; 15.89°, intensity 65, hkl 1 1 0; 9.24°, intensity 54, hkl 0 0 1

Cell and atoms:
```
52
Lattice="7.185 0.000 0.000 1.618 7.521 0.000 2.676 0.715 9.573" Properties=species:S:1:pos:R:3 pbc="T T T"
Li 0.000 0.000 0.000
Li 2.147 4.118 4.786
Cr 2.295 1.529 2.206
Cr 9.184 6.707 7.366
P 4.312 6.400 4.548
P 5.634 6.588 7.107
P 4.518 4.259 2.576
P 6.961 3.977 6.997
P 5.845 1.648 2.466
P 7.167 1.836 5.025
H 3.124 2.528 7.611
H 2.011 5.023 0.822
H 4.219 3.231 9.489
H 3.121 1.785 5.455
H 4.323 2.728 5.762
H 3.898 6.552 0.970
H 5.779 3.511 9.560
H 6.754 8.063 9.223
H 4.725 0.173 0.349
H 5.700 4.725 0.013
H 7.580 1.684 8.602
H 7.156 5.508 3.811
H 8.358 6.451 4.118
H 7.260 5.005 0.084
H 9.468 3.213 8.751
H 8.355 5.708 1.962
O 3.002 2.562 8.604
O 3.242 5.739 5.354
O 4.363 7.008 7.785
O 3.372 2.589 5.949
O 3.962 7.531 3.629
O 2.276 2.825 0.541
O 3.325 3.542 3.138
O 3.688 7.437 0.555
O 5.527 6.898 5.503
O 5.685 4.963 7.144
O 4.407 5.008 1.278
O 5.141 5.251 3.723
O 6.939 7.163 7.574
O 4.540 1.073 1.999
O 6.338 2.985 5.850
O 7.072 3.228 8.295
O 5.794 3.273 2.429
O 5.952 1.338 4.070
O 7.791 0.799 9.018
O 8.154 4.694 6.434
O 9.202 5.411 9.032
O 7.517 0.705 5.944
O 8.107 5.647 3.624
O 7.116 1.228 1.787
O 8.237 2.497 4.218
O 8.477 5.674 0.969
```